Calculated powder X-ray diffraction pattern of TbHo4Th2 for Cu Kα X-rays, from a structure optimized by DFT (GGA-PBE).
Lines closer than 0.1° are merged.

Lattice parameters (Å, degrees): 3.472 8.482 8.684 62.60 89.85 81.74
Element x y z (fractional)
Tb (0.000, 0.000, 0.000)
Ho (0.043, 0.449, 0.717)
Ho (0.361, 0.852, 0.422)
Ho (0.639, 0.148, 0.578)
Ho (0.957, 0.551, 0.283)
Th (0.412, 0.719, 0.867)
Th (0.588, 0.281, 0.133)

Largest 6 diffraction maxima, low angle first, 2θ from 10° to 80°:
2theta, I/Imax
29.77, 51
30.75, 100
31.90, 83
32.41, 80
32.58, 60
33.13, 56